For TbTm2Ti, a structure optimized by DFT (PBE) gives the theoretical powder diffractogram in this record (Cu Ka).

Principal peaks in the range 2θ from 5° to 70°, by intensity:
- 2θ 33.50, intensity 100, (0 1 5)
- 2θ 36.23, intensity 50, (1 0 7)
- 2θ 32.43, intensity 41, (1 0 4)
- 2θ 33.16, intensity 36, (0 0 12)
- 2θ 54.10, intensity 34, (1 1 0)
- 2θ 64.94, intensity 31, (1 1 12)

Cell and atoms:
```
data_TbTm2Ti
_space_group_name_H-M_alt 'R 3 m'
_space_group_IT_number 160
_space_group_name_Hall 'R 3 -2"'
_cell_length_a 3.3904
_cell_length_b 3.3904
_cell_length_c 32.4165
_cell_angle_alpha 90.00
_cell_angle_beta 90.00
_cell_angle_gamma 120.00
loop_
_atom_site_label
_atom_site_type_symbol
_atom_site_fract_x
_atom_site_fract_y
_atom_site_fract_z
Tb1 Tb 0.0000 0.0000 0.0000
Tm1 Tm 0.0000 0.0000 0.5752
Tm2 Tm 0.0000 0.0000 0.7577
Ti1 Ti 0.0000 0.0000 0.1660
```

=====

For Th3Ga4Si2, a structure optimized by DFT (PBE) gives the theoretical powder diffractogram in this record (Cu Ka).

Principal peaks in the range 2θ from 5° to 70°, by intensity:
- 2θ 32.36, intensity 100, (1 1 2)
- 2θ 24.28, intensity 34, (1 1 -1)
- 2θ 42.72, intensity 34, (0 2 0)
- 2θ 54.60, intensity 23, (4 2 -1)
- 2θ 62.15, intensity 22, (4 2 2)
- 2θ 42.90, intensity 11, (4 0 2)

Cell and atoms:
```
data_Th3Ga4Si2
_space_group_name_H-M_alt 'C 1 2/m 1'
_space_group_IT_number 12
_cell_length_a 11.180
_cell_length_b 4.232
_cell_length_c 8.456
_cell_angle_alpha 90.00
_cell_angle_beta 101.13
_cell_angle_gamma 90.00
loop_
_space_group_symop_operation_xyz
'x,y,z'
'-x,-y,-z'
'-x,y,-z'
'x,-y,z'
'x+1/2,y+1/2,z'
'-x+1/2,-y+1/2,-z'
'-x+1/2,y+1/2,-z'
'x+1/2,-y+1/2,z'
loop_
_atom_site_label
_atom_site_type_symbol
_atom_site_fract_x
_atom_site_fract_y
_atom_site_fract_z
Th1 Th 0.000 0.000 0.000
Th2 Th 0.168 0.500 0.662
Ga1 Ga 0.058 0.000 0.390
Ga2 Ga 0.230 0.500 0.065
Si1 Si 0.104 0.500 0.272
```

=====

For La2LuGe, a structure optimized by DFT (PBE) gives the theoretical powder diffractogram in this record (Cu Ka).

Principal peaks in the range 2θ from 5° to 70°, by intensity:
- 2θ 33.98, intensity 100, (1 0 2)
- 2θ 30.46, intensity 72, (1 1 0)
- 2θ 56.41, intensity 47, (2 1 2)
- 2θ 43.61, intensity 27, (2 0 0)
- 2θ 25.10, intensity 19, (1 0 1)
- 2θ 62.93, intensity 13, (1 1 4)

Cell and atoms:
```
data_La2LuGe
_space_group_name_H-M_alt 'P 4/m m m'
_space_group_IT_number 123
_space_group_name_Hall '-P 4 2'
_cell_length_a 4.151
_cell_length_b 4.151
_cell_length_c 6.836
_cell_angle_alpha 90.00
_cell_angle_beta 90.00
_cell_angle_gamma 90.00
loop_
_atom_site_label
_atom_site_type_symbol
_atom_site_fract_x
_atom_site_fract_y
_atom_site_fract_z
La1 La 0.000 0.000 0.219
Lu1 Lu 0.500 0.500 0.500
Ge1 Ge 0.500 0.500 0.000
```

=====

For Tb3Ru2, a structure optimized by DFT (PBE) gives the theoretical powder diffractogram in this record (Cu Ka).

Principal peaks in the range 2θ from 5° to 70°, by intensity:
- 2θ 37.48, intensity 100, (3 1 3)
- 2θ 37.31, intensity 96, (3 1 -3)
- 2θ 26.20, intensity 64, (3 1 0)
- 2θ 53.91, intensity 50, (6 2 0)
- 2θ 37.21, intensity 49, (0 2 0)
- 2θ 37.57, intensity 47, (6 0 0)

Cell and atoms:
```
data_Tb3Ru2
_space_group_name_H-M_alt 'C 1 2/m 1'
_space_group_IT_number 12
_cell_length_a 14.366
_cell_length_b 4.833
_cell_length_c 10.200
_cell_angle_alpha 90.00
_cell_angle_beta 90.34
_cell_angle_gamma 90.00
loop_
_space_group_symop_operation_xyz
'x,y,z'
'-x,-y,-z'
'-x,y,-z'
'x,-y,z'
'x+1/2,y+1/2,z'
'-x+1/2,-y+1/2,-z'
'-x+1/2,y+1/2,-z'
'x+1/2,-y+1/2,z'
loop_
_atom_site_label
_atom_site_type_symbol
_atom_site_fract_x
_atom_site_fract_y
_atom_site_fract_z
Tb1 Tb 0.000 0.000 0.000
Tb2 Tb 0.002 0.000 0.665
Tb3 Tb 0.161 0.500 0.341
Tb4 Tb 0.168 0.500 0.010
Tb5 Tb 0.172 0.500 0.675
Ru1 Ru 0.004 0.500 0.835
Ru2 Ru 0.166 0.000 0.834
Ru3 Ru 0.169 0.000 0.505
```

=====

For LaPm12Er5, a structure optimized by DFT (PBE) gives the theoretical powder diffractogram in this record (Cu Ka).

Principal peaks in the range 2θ from 5° to 70°, by intensity:
- 2θ 31.17, intensity 100, (3 3 1)
- 2θ 30.87, intensity 26, (0 0 2)
- 2θ 55.09, intensity 19, (3 3 3)
- 2θ 44.62, intensity 19, (0 6 2)
- 2θ 31.38, intensity 17, (0 6 0)
- 2θ 61.98, intensity 14, (7 5 1)

Cell and atoms:
```
data_LaPm12Er5
_space_group_name_H-M_alt 'C 1 2/m 1'
_space_group_IT_number 12
_cell_length_a 12.170
_cell_length_b 17.105
_cell_length_c 5.793
_cell_angle_alpha 90.00
_cell_angle_beta 90.00
_cell_angle_gamma 90.00
loop_
_space_group_symop_operation_xyz
'x,y,z'
'-x,-y,-z'
'-x,y,-z'
'x,-y,z'
'x+1/2,y+1/2,z'
'-x+1/2,-y+1/2,-z'
'-x+1/2,y+1/2,-z'
'x+1/2,-y+1/2,z'
loop_
_atom_site_label
_atom_site_type_symbol
_atom_site_fract_x
_atom_site_fract_y
_atom_site_fract_z
La1 La 0.000 0.000 0.000
Pm1 Pm 0.150 0.180 0.000
Pm2 Pm 0.150 0.320 0.500
Pm3 Pm 0.195 0.500 0.002
Pm4 Pm 0.204 0.000 0.498
Er1 Er 0.000 0.139 0.500
Er2 Er 0.000 0.363 0.000
Er3 Er 0.000 0.500 0.500
```

=====

For UHgTeN, a structure optimized by DFT (PBE) gives the theoretical powder diffractogram in this record (Cu Ka).

Principal peaks in the range 2θ from 5° to 70°, by intensity:
- 2θ 32.88, intensity 100, (1 1 1)
- 2θ 31.36, intensity 85, (1 0 3)
- 2θ 45.96, intensity 41, (2 0 0)
- 2θ 55.39, intensity 41, (1 1 6)
- 2θ 14.32, intensity 40, (0 0 2)
- 2θ 26.78, intensity 33, (1 0 2)

Cell and atoms:
```
data_UHgTeN
_space_group_name_H-M_alt 'P 4/n m m'
_space_group_IT_number 129
_cell_length_a 3.949
_cell_length_b 3.949
_cell_length_c 12.373
_cell_angle_alpha 90.00
_cell_angle_beta 90.00
_cell_angle_gamma 90.00
loop_
_space_group_symop_operation_xyz
'x,y,z'
'-x,-y,-z'
'-y+1/2,x,z'
'y+1/2,-x,-z'
'-x+1/2,-y+1/2,z'
'x+1/2,y+1/2,-z'
'y,-x+1/2,z'
'-y,x+1/2,-z'
'x+1/2,-y,-z'
'-x+1/2,y,z'
'-y,-x,-z'
'y,x,z'
'-x,y+1/2,-z'
'x,-y+1/2,z'
'y+1/2,x+1/2,-z'
'-y+1/2,-x+1/2,z'
loop_
_atom_site_label
_atom_site_type_symbol
_atom_site_fract_x
_atom_site_fract_y
_atom_site_fract_z
U1 U 0.250 0.250 0.091
Hg1 Hg 0.250 0.750 0.500
Te1 Te 0.250 0.250 0.770
N1 N 0.250 0.750 0.000
```

=====

For TbDyTmIn, a structure optimized by DFT (PBE) gives the theoretical powder diffractogram in this record (Cu Ka).

Principal peaks in the range 2θ from 5° to 70°, by intensity:
- 2θ 32.11, intensity 100, (1 1 1)
- 2θ 37.24, intensity 50, (2 0 0)
- 2θ 63.94, intensity 41, (3 1 1)
- 2θ 53.69, intensity 35, (2 2 0)
- 2θ 67.15, intensity 12, (2 2 2)
- 2θ 18.37, intensity 2, (1 0 0)

Cell and atoms:
```
data_TbDyTmIn
_space_group_name_H-M_alt 'P m m m'
_space_group_IT_number 47
_cell_length_a 4.827
_cell_length_b 4.828
_cell_length_c 4.831
_cell_angle_alpha 90.00
_cell_angle_beta 90.00
_cell_angle_gamma 90.00
loop_
_space_group_symop_operation_xyz
'x,y,z'
'-x,-y,-z'
'-x,-y,z'
'x,y,-z'
'x,-y,-z'
'-x,y,z'
'-x,y,-z'
'x,-y,z'
loop_
_atom_site_label
_atom_site_type_symbol
_atom_site_fract_x
_atom_site_fract_y
_atom_site_fract_z
Tb1 Tb 0.000 0.000 0.000
Dy1 Dy 0.500 0.000 0.500
Tm1 Tm 0.500 0.500 0.000
In1 In 0.000 0.500 0.500
```

=====

For Er2Th2Si4Ir, a structure optimized by DFT (PBE) gives the theoretical powder diffractogram in this record (Cu Ka).

Principal peaks in the range 2θ from 5° to 70°, by intensity:
- 2θ 25.86, intensity 100, (2 0 0)
- 2θ 36.90, intensity 65, (2 2 0)
- 2θ 33.62, intensity 51, (2 0 2)
- 2θ 28.01, intensity 38, (1 1 2)
- 2θ 43.63, intensity 35, (2 1 3)
- 2θ 34.51, intensity 34, (1 0 3)

Cell and atoms:
```
data_Er2Th2Si4Ir
_space_group_name_H-M_alt 'I 4/m m m'
_space_group_IT_number 139
_space_group_name_Hall '-I 4 2'
_cell_length_a 6.890
_cell_length_b 6.890
_cell_length_c 8.418
_cell_angle_alpha 90.00
_cell_angle_beta 90.00
_cell_angle_gamma 90.00
loop_
_atom_site_label
_atom_site_type_symbol
_atom_site_fract_x
_atom_site_fract_y
_atom_site_fract_z
Er1 Er 0.000 0.000 0.184
Th1 Th 0.000 0.500 0.250
Si1 Si 0.247 0.247 0.500
Ir1 Ir 0.000 0.000 0.500
```

=====

For Tm2Th2S7, a structure optimized by DFT (PBE) gives the theoretical powder diffractogram in this record (Cu Ka).

Principal peaks in the range 2θ from 5° to 70°, by intensity:
- 2θ 23.23, intensity 100, (1 0 2)
- 2θ 38.44, intensity 38, (1 1 4)
- 2θ 45.26, intensity 35, (2 1 2)
- 2θ 38.28, intensity 25, (2 0 0)
- 2θ 26.81, intensity 18, (1 1 0)
- 2θ 69.31, intensity 13, (3 1 4)

Cell and atoms:
```
data_Tm2Th2S7
_space_group_name_H-M_alt 'P -4 m 2'
_space_group_IT_number 115
_cell_length_a 4.703
_cell_length_b 4.703
_cell_length_c 13.191
_cell_angle_alpha 90.00
_cell_angle_beta 90.00
_cell_angle_gamma 90.00
loop_
_space_group_symop_operation_xyz
'x,y,z'
'y,-x,-z'
'-x,-y,z'
'-y,x,-z'
'-x,y,z'
'-y,-x,-z'
'x,-y,z'
'y,x,-z'
loop_
_atom_site_label
_atom_site_type_symbol
_atom_site_fract_x
_atom_site_fract_y
_atom_site_fract_z
Tm1 Tm 0.000 0.500 0.104
Th1 Th 0.000 0.500 0.649
S1 S 0.000 0.000 0.000
S2 S 0.000 0.000 0.261
S3 S 0.500 0.500 0.000
S4 S 0.500 0.500 0.240
S5 S 0.500 0.500 0.500
```

=====

For CeTm4Sb2, a structure optimized by DFT (PBE) gives the theoretical powder diffractogram in this record (Cu Ka).

Principal peaks in the range 2θ from 5° to 70°, by intensity:
- 2θ 30.55, intensity 100, (1 0 -3)
- 2θ 31.27, intensity 73, (2 0 1)
- 2θ 30.76, intensity 60, (1 2 -1)
- 2θ 35.58, intensity 40, (3 0 -2)
- 2θ 35.74, intensity 34, (0 2 2)
- 2θ 34.28, intensity 30, (1 2 1)

Cell and atoms:
```
data_CeTm4Sb2
_space_group_name_H-M_alt 'P 1 21/m 1'
_space_group_IT_number 11
_cell_length_a 7.733
_cell_length_b 6.423
_cell_length_c 8.779
_cell_angle_alpha 90.00
_cell_angle_beta 113.26
_cell_angle_gamma 90.00
loop_
_space_group_symop_operation_xyz
'x,y,z'
'-x,-y,-z'
'-x,y+1/2,-z'
'x,-y+1/2,z'
loop_
_atom_site_label
_atom_site_type_symbol
_atom_site_fract_x
_atom_site_fract_y
_atom_site_fract_z
Ce1 Ce 0.104 0.250 0.365
Tm1 Tm 0.184 0.750 0.077
Tm2 Tm 0.340 0.006 0.794
Tm3 Tm 0.461 0.750 0.513
Sb1 Sb 0.044 0.750 0.357
Sb2 Sb 0.273 0.250 0.090
```

=====

For CuSb2O6, a structure optimized by DFT (PBE) gives the theoretical powder diffractogram in this record (Cu Ka).

Principal peaks in the range 2θ from 5° to 70°, by intensity:
- 2θ 28.19, intensity 100, (1 1 1)
- 2θ 54.08, intensity 43, (0 3 2)
- 2θ 35.19, intensity 41, (3 0 0)
- 2θ 45.68, intensity 24, (2 2 1)
- 2θ 58.94, intensity 21, (4 1 1)
- 2θ 63.14, intensity 14, (3 3 0)

Cell and atoms:
```
data_CuSb2O6
_space_group_name_H-M_alt 'P 3 2 1'
_space_group_IT_number 150
_cell_length_a 8.8348
_cell_length_b 8.8348
_cell_length_c 4.5402
_cell_angle_alpha 90.00
_cell_angle_beta 90.00
_cell_angle_gamma 120.00
loop_
_space_group_symop_operation_xyz
'x,y,z'
'-y,x-y,z'
'-x+y,-x,z'
'y,x,-z'
'x-y,-y,-z'
'-x,-x+y,-z'
loop_
_atom_site_label
_atom_site_type_symbol
_atom_site_fract_x
_atom_site_fract_y
_atom_site_fract_z
Cu1 Cu 0.0000 0.0000 0.0000
Cu2 Cu 0.3333 0.6667 0.5038
Sb1 Sb 0.0000 0.3150 0.5000
Sb2 Sb 0.0000 0.6490 0.0000
O1 O 0.1043 0.8785 0.7642
O2 O 0.1079 0.5403 0.7469
O3 O 0.2164 0.7765 0.2636
```

=====

For PrIn2I5, a structure optimized by DFT (PBE) gives the theoretical powder diffractogram in this record (Cu Ka).

Principal peaks in the range 2θ from 5° to 70°, by intensity:
- 2θ 27.28, intensity 100, (1 2 2)
- 2θ 29.38, intensity 70, (2 2 2)
- 2θ 27.80, intensity 62, (3 2 1)
- 2θ 26.69, intensity 61, (4 0 1)
- 2θ 36.63, intensity 49, (0 4 0)
- 2θ 30.89, intensity 46, (4 2 0)

Cell and atoms:
```
data_PrIn2I5
_space_group_name_H-M_alt 'P n m a'
_space_group_IT_number 62
_cell_length_a 14.338
_cell_length_b 9.814
_cell_length_c 9.205
_cell_angle_alpha 90.00
_cell_angle_beta 90.00
_cell_angle_gamma 90.00
loop_
_space_group_symop_operation_xyz
'x,y,z'
'-x,-y,-z'
'-x+1/2,-y,z+1/2'
'x+1/2,y,-z+1/2'
'x+1/2,-y+1/2,-z+1/2'
'-x+1/2,y+1/2,z+1/2'
'-x,y+1/2,-z'
'x,-y+1/2,z'
loop_
_atom_site_label
_atom_site_type_symbol
_atom_site_fract_x
_atom_site_fract_y
_atom_site_fract_z
Pr1 Pr 0.004 0.250 0.084
In1 In 0.178 0.507 0.547
I1 I 0.005 0.250 0.436
I2 I 0.081 0.546 0.168
I3 I 0.184 0.250 0.874
I4 I 0.212 0.750 0.833
```

=====

For Sr2Er3Te6, a structure optimized by DFT (PBE) gives the theoretical powder diffractogram in this record (Cu Ka).

Principal peaks in the range 2θ from 5° to 70°, by intensity:
- 2θ 28.12, intensity 100, (1 3 1)
- 2θ 39.35, intensity 39, (2 0 2)
- 2θ 41.01, intensity 37, (0 6 0)
- 2θ 11.59, intensity 22, (0 0 1)
- 2θ 50.46, intensity 20, (4 0 0)
- 2θ 66.95, intensity 11, (1 9 1)

Cell and atoms:
```
data_Sr2Er3Te6
_space_group_name_H-M_alt 'C 1 2/m 1'
_space_group_IT_number 12
_cell_length_a 7.623
_cell_length_b 13.208
_cell_length_c 8.053
_cell_angle_alpha 90.00
_cell_angle_beta 108.51
_cell_angle_gamma 90.00
loop_
_space_group_symop_operation_xyz
'x,y,z'
'-x,-y,-z'
'-x,y,-z'
'x,-y,z'
'x+1/2,y+1/2,z'
'-x+1/2,-y+1/2,-z'
'-x+1/2,y+1/2,-z'
'x+1/2,-y+1/2,z'
loop_
_atom_site_label
_atom_site_type_symbol
_atom_site_fract_x
_atom_site_fract_y
_atom_site_fract_z
Sr1 Sr 0.000 0.166 0.000
Er1 Er 0.000 0.000 0.500
Er2 Er 0.000 0.331 0.500
Te1 Te 0.238 0.500 0.727
Te2 Te 0.246 0.164 0.730
```